1.
For Hf4Fe3Mo2N3, a GGA-PBE-relaxed structure gives the calculated PXRD pattern in this record (Cu Kα (λ = 1.5418 Å)).

Crystal structure
```
data_Hf4Fe3Mo2N3
_cell_length_a 9.1844
_cell_length_b 5.2699
_cell_length_c 13.6188
_cell_angle_alpha 90.00
_cell_angle_beta 103.15
_cell_angle_gamma 90.00
_space_group_name_H-M_alt 'C 1 2/c 1'
_space_group_IT_number 15
_space_group_name_Hall '-C 2yc'
loop_
_atom_site_label
_atom_site_type_symbol
_atom_site_fract_x
_atom_site_fract_y
_atom_site_fract_z
_atom_site_occupancy
Hf1 Hf 0.1128 0.0919 0.0945 1
Hf2 Hf 0.2229 0.0822 0.4054 1
Fe1 Fe 0.0000 0.1125 0.2500 1
Fe2 Fe 0.2324 0.1824 0.7493 1
Mo1 Mo 0.0327 0.4174 0.8523 1
N1 N 0.0823 0.2544 0.4998 1
N2 N 0.2500 0.2500 0.0000 1
```

Top 10 peaks for 2θ from 10° to 90°, sorted by position:
| 2θ (°) | Rel. int. | (hkl) |
| --- | --- | --- |
| 26.9 | 31 | 0 0 4 |
| 34.5 | 63 | 3 1 -2 |
| 34.7 | 33 | 0 2 1 |
| 39.7 | 100 | 3 1 2 |
| 39.8 | 53 | 0 2 3 |
| 43.4 | 21 | 4 0 -4 |
| 43.7 | 22 | 3 1 -5 |
| 43.9 | 31 | 3 1 3 |
| 60.8 | 25 | 3 3 -1 |
| 67.7 | 21 | 3 3 -5 |

---

2.
For DyYCu2Sb4, a GGA-PBE-relaxed structure gives the calculated PXRD pattern in this record (Cu Kα (λ = 1.5418 Å)).

Crystal structure
```
data_DyYCu2Sb4
_cell_length_a 4.3132
_cell_length_b 4.3132
_cell_length_c 9.8739
_cell_angle_alpha 90.00
_cell_angle_beta 90.00
_cell_angle_gamma 90.00
_space_group_name_H-M_alt 'P 4 m m'
_space_group_IT_number 99
_space_group_name_Hall 'P 4 -2'
loop_
_atom_site_label
_atom_site_type_symbol
_atom_site_fract_x
_atom_site_fract_y
_atom_site_fract_z
_atom_site_occupancy
Dy1 Dy 0.0000 0.0000 0.0000 1
Y1 Y 0.5000 0.5000 0.5012 1
Cu1 Cu 0.0000 0.5000 0.2505 1
Sb1 Sb 0.0000 0.0000 0.4111 1
Sb2 Sb 0.0000 0.5000 0.7508 1
Sb3 Sb 0.5000 0.5000 0.0897 1
```

Top 10 peaks for 2θ from 10° to 90°, sorted by position:
| 2θ (°) | Rel. int. | (hkl) |
| --- | --- | --- |
| 27.1 | 11 | 0 0 3 |
| 27.5 | 18 | 1 0 2 |
| 30.7 | 15 | 1 1 1 |
| 34.3 | 15 | 1 0 3 |
| 34.6 | 100 | 1 1 2 |
| 41.9 | 41 | 2 0 0 |
| 50.8 | 20 | 1 0 5 |
| 60.7 | 13 | 2 2 0 |
| 67.9 | 13 | 2 1 5 |
| 71.8 | 23 | 3 1 2 |

---

3.
For Li2Hf2O5, a GGA-PBE-relaxed structure gives the calculated PXRD pattern in this record (Cu Kα (λ = 1.5418 Å)).

Crystal structure
```
data_Li2Hf2O5
_cell_length_a 6.1495
_cell_length_b 16.6721
_cell_length_c 5.1716
_cell_angle_alpha 90.00
_cell_angle_beta 90.02
_cell_angle_gamma 90.00
_space_group_name_H-M_alt 'C 1 c 1'
_space_group_IT_number 9
_space_group_name_Hall 'C -2yc'
loop_
_atom_site_label
_atom_site_type_symbol
_atom_site_fract_x
_atom_site_fract_y
_atom_site_fract_z
_atom_site_occupancy
Li1 Li 0.0000 0.0485 0.0000 1
Li2 Li 0.2107 0.4513 0.0000 1
Hf1 Hf 0.0234 0.3573 0.4969 1
Hf2 Hf 0.1874 0.1429 0.4968 1
O1 O 0.0068 0.0616 0.6287 1
O2 O 0.1065 0.2502 0.6101 1
O3 O 0.2037 0.4388 0.6287 1
O4 O 0.2204 0.1275 0.1185 1
O5 O 0.4903 0.1274 0.6185 1
```

Top 10 peaks for 2θ from 10° to 90°, sorted by position:
| 2θ (°) | Rel. int. | (hkl) |
| --- | --- | --- |
| 15.4 | 21 | 1 1 0 |
| 21.3 | 56 | 0 4 0 |
| 21.6 | 35 | 1 3 0 |
| 23.1 | 100 | 1 1 1 |
| 27.7 | 15 | 1 3 1 |
| 34.7 | 21 | 0 0 2 |
| 35.2 | 41 | 1 5 1 |
| 35.6 | 39 | 2 2 -1 |
| 41.1 | 19 | 0 4 2 |
| 47.3 | 16 | 3 3 0 |

---

4.
For MgAgOs, a GGA-PBE-relaxed structure gives the calculated PXRD pattern in this record (Cu Kα (λ = 1.5418 Å)).

Crystal structure
```
data_MgAgOs
_cell_length_a 6.2536
_cell_length_b 6.2536
_cell_length_c 6.2536
_cell_angle_alpha 90.00
_cell_angle_beta 90.00
_cell_angle_gamma 90.00
_space_group_name_H-M_alt 'F -4 3 m'
_space_group_IT_number 216
_space_group_name_Hall 'F -4 2 3'
loop_
_atom_site_label
_atom_site_type_symbol
_atom_site_fract_x
_atom_site_fract_y
_atom_site_fract_z
_atom_site_occupancy
Mg1 Mg 0.0000 0.0000 0.0000 1
Ag1 Ag 0.0000 0.0000 0.5000 1
Os1 Os 0.2500 0.2500 0.7500 1
```

Top 10 peaks for 2θ from 10° to 90°, sorted by position:
| 2θ (°) | Rel. int. | (hkl) |
| --- | --- | --- |
| 24.7 | 100 | 1 1 1 |
| 28.5 | 3 | 2 0 0 |
| 40.8 | 100 | 2 2 0 |
| 48.3 | 50 | 3 1 1 |
| 59.1 | 17 | 4 0 0 |
| 65.0 | 20 | 3 3 1 |
| 66.9 | 1 | 4 2 0 |
| 74.3 | 33 | 4 2 2 |
| 79.7 | 15 | 5 1 1 |
| 88.4 | 11 | 4 4 0 |

---

5.
For PaHg3F6, a GGA-PBE-relaxed structure gives the calculated PXRD pattern in this record (Cu Kα (λ = 1.5418 Å)).

Crystal structure
```
data_PaHg3F6
_cell_length_a 5.0581
_cell_length_b 5.0581
_cell_length_c 7.6573
_cell_angle_alpha 90.00
_cell_angle_beta 90.00
_cell_angle_gamma 120.00
_space_group_name_H-M_alt 'P -3 1 m'
_space_group_IT_number 162
_space_group_name_Hall '-P 3 2'
loop_
_atom_site_label
_atom_site_type_symbol
_atom_site_fract_x
_atom_site_fract_y
_atom_site_fract_z
_atom_site_occupancy
Pa1 Pa 0.0000 0.0000 0.0000 1
Hg1 Hg 0.0000 0.0000 0.5000 1
Hg2 Hg 0.3333 0.6667 0.5000 1
F1 F 0.0000 0.3326 0.8338 1
```

Top 10 peaks for 2θ from 10° to 90°, sorted by position:
| 2θ (°) | Rel. int. | (hkl) |
| --- | --- | --- |
| 11.6 | 45 | 0 0 1 |
| 20.3 | 22 | 1 0 0 |
| 23.2 | 59 | 0 0 2 |
| 23.4 | 31 | 1 0 1 |
| 35.5 | 62 | 1 1 0 |
| 37.4 | 32 | 2 -1 1 |
| 42.9 | 100 | 1 1 2 |
| 60.7 | 34 | 2 -1 4 |
| 68.8 | 20 | 3 0 2 |
| 79.9 | 18 | 4 -2 2 |

---

6.
For Tb3Ni19B10, a GGA-PBE-relaxed structure gives the calculated PXRD pattern in this record (Cu Kα (λ = 1.5418 Å)).

Crystal structure
```
data_Tb3Ni19B10
_cell_length_a 13.1952
_cell_length_b 8.7546
_cell_length_c 5.7899
_cell_angle_alpha 90.00
_cell_angle_beta 91.38
_cell_angle_gamma 90.00
_space_group_name_H-M_alt 'C 1 2/m 1'
_space_group_IT_number 12
_space_group_name_Hall '-C 2y'
loop_
_atom_site_label
_atom_site_type_symbol
_atom_site_fract_x
_atom_site_fract_y
_atom_site_fract_z
_atom_site_occupancy
Tb1 Tb 0.0000 0.0000 0.0000 1
Tb2 Tb 0.1259 0.5000 0.3878 1
Ni1 Ni 0.0000 0.0000 0.5000 1
Ni2 Ni 0.0293 0.2586 0.6989 1
Ni3 Ni 0.1219 0.5000 0.8757 1
Ni4 Ni 0.1282 0.2499 0.0743 1
Ni5 Ni 0.1625 0.0000 0.7024 1
Ni6 Ni 0.1823 0.0000 0.2714 1
Ni7 Ni 0.2185 0.2635 0.6985 1
B1 B 0.0000 0.3836 0.0000 1
B2 B 0.1180 0.1823 0.4312 1
B3 B 0.2456 0.1030 0.9754 1
```

Top 10 peaks for 2θ from 10° to 90°, sorted by position:
| 2θ (°) | Rel. int. | (hkl) |
| --- | --- | --- |
| 35.5 | 48 | 5 1 0 |
| 37.2 | 40 | 4 2 -1 |
| 37.8 | 40 | 4 2 1 |
| 38.2 | 60 | 3 1 -2 |
| 40.0 | 93 | 2 2 2 |
| 41.2 | 100 | 0 4 0 |
| 46.2 | 36 | 4 2 -2 |
| 46.4 | 36 | 5 3 0 |
| 47.1 | 43 | 0 0 3 |
| 48.6 | 45 | 3 3 -2 |

---

7.
For Al2AgTe4Au, a GGA-PBE-relaxed structure gives the calculated PXRD pattern in this record (Cu Kα (λ = 1.5418 Å)).

Crystal structure
```
data_Al2AgTe4Au
_cell_length_a 6.3604
_cell_length_b 6.3604
_cell_length_c 12.2988
_cell_angle_alpha 90.00
_cell_angle_beta 90.00
_cell_angle_gamma 90.00
_space_group_name_H-M_alt 'I -4'
_space_group_IT_number 82
_space_group_name_Hall 'I -4'
loop_
_atom_site_label
_atom_site_type_symbol
_atom_site_fract_x
_atom_site_fract_y
_atom_site_fract_z
_atom_site_occupancy
Al1 Al 0.0000 0.0000 0.0000 1
Al2 Al 0.0000 0.5000 0.2500 1
Ag1 Ag 0.0000 0.0000 0.5000 1
Te1 Te 0.2335 0.2481 0.1258 1
Au1 Au 0.0000 0.5000 0.7500 1
```

Top 10 peaks for 2θ from 10° to 90°, sorted by position:
| 2θ (°) | Rel. int. | (hkl) |
| --- | --- | --- |
| 15.7 | 19 | 1 0 1 |
| 24.5 | 100 | 1 1 2 |
| 25.9 | 10 | 1 0 3 |
| 32.3 | 13 | 1 2 1 |
| 40.1 | 26 | 2 2 0 |
| 40.8 | 50 | 2 0 4 |
| 47.6 | 32 | 3 1 2 |
| 48.8 | 15 | 1 1 6 |
| 65.0 | 13 | 3 1 6 |
| 73.3 | 17 | 4 2 4 |

---

8.
For La2Ag2I, a GGA-PBE-relaxed structure gives the calculated PXRD pattern in this record (Cu Kα (λ = 1.5418 Å)).

Crystal structure
```
data_La2Ag2I
_cell_length_a 4.6211
_cell_length_b 4.6211
_cell_length_c 8.2313
_cell_angle_alpha 90.00
_cell_angle_beta 90.00
_cell_angle_gamma 120.00
_space_group_name_H-M_alt 'P -6 m 2'
_space_group_IT_number 187
_space_group_name_Hall 'P -6 2'
loop_
_atom_site_label
_atom_site_type_symbol
_atom_site_fract_x
_atom_site_fract_y
_atom_site_fract_z
_atom_site_occupancy
La1 La 0.0000 0.0000 0.2327 1
Ag1 Ag 0.3333 0.6667 0.0000 1
Ag2 Ag 0.6667 0.3333 0.0000 1
I1 I 0.6667 0.3333 0.5000 1
```

Top 10 peaks for 2θ from 10° to 90°, sorted by position:
| 2θ (°) | Rel. int. | (hkl) |
| --- | --- | --- |
| 10.7 | 16 | 0 0 1 |
| 22.2 | 12 | 1 0 0 |
| 24.7 | 11 | 1 0 1 |
| 31.2 | 100 | 1 0 2 |
| 39.0 | 51 | 1 1 0 |
| 44.0 | 11 | 0 0 4 |
| 50.7 | 25 | 2 0 2 |
| 60.2 | 25 | 1 1 4 |
| 65.8 | 23 | 2 1 2 |
| 87.1 | 9 | 3 0 4 |

---

9.
For La2Al2Pd3Pt, a GGA-PBE-relaxed structure gives the calculated PXRD pattern in this record (Cu Kα (λ = 1.5418 Å)).

Crystal structure
```
data_La2Al2Pd3Pt
_cell_length_a 4.4235
_cell_length_b 4.4235
_cell_length_c 9.8075
_cell_angle_alpha 90.00
_cell_angle_beta 90.00
_cell_angle_gamma 120.00
_space_group_name_H-M_alt 'P 3 m 1'
_space_group_IT_number 156
_space_group_name_Hall 'P 3 -2"'
loop_
_atom_site_label
_atom_site_type_symbol
_atom_site_fract_x
_atom_site_fract_y
_atom_site_fract_z
_atom_site_occupancy
La1 La 0.0000 0.0000 0.0000 1
La2 La 0.3333 0.6667 0.4958 1
Al1 Al 0.6667 0.3333 0.2549 1
Al2 Al 0.6667 0.3333 0.7496 1
Pd1 Pd 0.0000 0.0000 0.6843 1
Pd2 Pd 0.3333 0.6667 0.1740 1
Pd3 Pd 0.3333 0.6667 0.8183 1
Pt1 Pt 0.0000 0.0000 0.3150 1
```

Top 10 peaks for 2θ from 10° to 90°, sorted by position:
| 2θ (°) | Rel. int. | (hkl) |
| --- | --- | --- |
| 23.2 | 42 | 1 0 0 |
| 36.1 | 100 | 0 1 3 |
| 40.8 | 57 | 1 1 0 |
| 47.5 | 6 | 2 0 0 |
| 55.6 | 29 | 2 0 3 |
| 61.7 | 8 | 0 1 6 |
| 71.2 | 27 | 2 1 3 |
| 71.8 | 16 | 1 1 6 |
| 74.3 | 10 | 3 0 0 |
| 88.4 | 6 | 2 2 0 |

---

10.
For Zr4AsSN2, a GGA-PBE-relaxed structure gives the calculated PXRD pattern in this record (Cu Kα (λ = 1.5418 Å)).

Crystal structure
```
data_Zr4AsSN2
_cell_length_a 3.4224
_cell_length_b 3.4224
_cell_length_c 12.2256
_cell_angle_alpha 90.00
_cell_angle_beta 90.00
_cell_angle_gamma 120.00
_space_group_name_H-M_alt 'P -6 m 2'
_space_group_IT_number 187
_space_group_name_Hall 'P -6 2'
loop_
_atom_site_label
_atom_site_type_symbol
_atom_site_fract_x
_atom_site_fract_y
_atom_site_fract_z
_atom_site_occupancy
Zr1 Zr 0.0000 0.0000 0.1479 1
Zr2 Zr 0.6667 0.3333 0.3434 1
As1 As 0.0000 0.0000 0.5000 1
S1 S 0.6667 0.3333 0.0000 1
N1 N 0.3333 0.6667 0.2461 1
```

Top 10 peaks for 2θ from 10° to 90°, sorted by position:
| 2θ (°) | Rel. int. | (hkl) |
| --- | --- | --- |
| 30.2 | 26 | 1 0 0 |
| 31.0 | 9 | 1 0 1 |
| 37.5 | 100 | 1 0 3 |
| 42.5 | 6 | 1 0 4 |
| 44.5 | 10 | 0 0 6 |
| 53.6 | 27 | 1 1 0 |
| 54.7 | 11 | 1 0 6 |
| 67.2 | 17 | 2 0 3 |
| 72.1 | 14 | 1 1 6 |
| 77.3 | 7 | 1 0 9 |

---

11.
For Dy4Ni13C4, a GGA-PBE-relaxed structure gives the calculated PXRD pattern in this record (Cu Kα (λ = 1.5418 Å)).

Crystal structure
```
data_Dy4Ni13C4
_cell_length_a 11.7620
_cell_length_b 12.0225
_cell_length_c 3.8670
_cell_angle_alpha 90.00
_cell_angle_beta 90.00
_cell_angle_gamma 90.00
_space_group_name_H-M_alt 'C m m m'
_space_group_IT_number 65
_space_group_name_Hall '-C 2 2'
loop_
_atom_site_label
_atom_site_type_symbol
_atom_site_fract_x
_atom_site_fract_y
_atom_site_fract_z
_atom_site_occupancy
Dy1 Dy 0.0000 0.1879 0.0000 1
Dy2 Dy 0.1514 0.5000 0.0000 1
Ni1 Ni 0.0000 0.0000 0.5000 1
Ni2 Ni 0.1074 0.3230 0.5000 1
Ni3 Ni 0.1235 0.0000 0.0000 1
Ni4 Ni 0.1829 0.1078 0.5000 1
Ni5 Ni 0.2500 0.2500 0.0000 1
C1 C 0.0000 0.4434 0.5000 1
C2 C 0.2500 0.2500 0.5000 1
```

Top 10 peaks for 2θ from 10° to 90°, sorted by position:
| 2θ (°) | Rel. int. | (hkl) |
| --- | --- | --- |
| 33.1 | 75 | 1 3 1 |
| 33.4 | 40 | 3 1 1 |
| 33.9 | 29 | 4 2 0 |
| 37.9 | 47 | 0 4 1 |
| 41.0 | 21 | 2 4 1 |
| 41.4 | 100 | 4 2 1 |
| 44.2 | 39 | 3 5 0 |
| 44.7 | 22 | 5 3 0 |
| 47.0 | 45 | 0 0 2 |
| 66.5 | 22 | 3 5 2 |

---

12.
For Sm4AsClO8, a GGA-PBE-relaxed structure gives the calculated PXRD pattern in this record (Cu Kα (λ = 1.5418 Å)).

Crystal structure
```
data_Sm4AsClO8
_cell_length_a 12.7229
_cell_length_b 5.8622
_cell_length_c 5.8077
_cell_angle_alpha 90.00
_cell_angle_beta 90.00
_cell_angle_gamma 90.00
_space_group_name_H-M_alt 'P m n 21'
_space_group_IT_number 31
_space_group_name_Hall 'P 2ac -2'
loop_
_atom_site_label
_atom_site_type_symbol
_atom_site_fract_x
_atom_site_fract_y
_atom_site_fract_z
_atom_site_occupancy
Sm1 Sm 0.1659 0.0219 0.0000 1
Sm2 Sm 0.1741 0.4858 0.5390 1
As1 As 0.0000 0.5514 0.0745 1
Cl1 Cl 0.0000 0.0565 0.5773 1
O1 O 0.0000 0.5080 0.3669 1
O2 O 0.0000 0.8405 0.0294 1
O3 O 0.1068 0.4280 0.9467 1
O4 O 0.2247 0.7572 0.2643 1
O5 O 0.2495 0.2398 0.2728 1
```

Top 10 peaks for 2θ from 10° to 90°, sorted by position:
| 2θ (°) | Rel. int. | (hkl) |
| --- | --- | --- |
| 13.9 | 19 | 2 0 0 |
| 22.7 | 16 | 1 1 1 |
| 30.2 | 100 | 3 1 1 |
| 30.5 | 23 | 0 2 0 |
| 30.8 | 22 | 0 0 2 |
| 43.9 | 20 | 0 2 2 |
| 53.3 | 11 | 6 2 0 |
| 53.5 | 11 | 6 0 2 |
| 54.0 | 17 | 3 3 1 |
| 54.4 | 17 | 3 1 3 |

---

What did the first record say?
For Hf4Fe3Mo2N3, a GGA-PBE-relaxed structure gives the calculated PXRD pattern in this record (Cu Kα (λ = 1.5418 Å)).

Crystal structure
```
data_Hf4Fe3Mo2N3
_cell_length_a 9.1844
_cell_length_b 5.2699
_cell_length_c 13.6188
_cell_angle_alpha 90.00
_cell_angle_beta 103.15
_cell_angle_gamma 90.00
_space_group_name_H-M_alt 'C 1 2/c 1'
_space_group_IT_number 15
_space_group_name_Hall '-C 2yc'
loop_
_atom_site_label
_atom_site_type_symbol
_atom_site_fract_x
_atom_site_fract_y
_atom_site_fract_z
_atom_site_occupancy
Hf1 Hf 0.1128 0.0919 0.0945 1
Hf2 Hf 0.2229 0.0822 0.4054 1
Fe1 Fe 0.0000 0.1125 0.2500 1
Fe2 Fe 0.2324 0.1824 0.7493 1
Mo1 Mo 0.0327 0.4174 0.8523 1
N1 N 0.0823 0.2544 0.4998 1
N2 N 0.2500 0.2500 0.0000 1
```

Top 10 peaks for 2θ from 10° to 90°, sorted by position:
| 2θ (°) | Rel. int. | (hkl) |
| --- | --- | --- |
| 26.9 | 31 | 0 0 4 |
| 34.5 | 63 | 3 1 -2 |
| 34.7 | 33 | 0 2 1 |
| 39.7 | 100 | 3 1 2 |
| 39.8 | 53 | 0 2 3 |
| 43.4 | 21 | 4 0 -4 |
| 43.7 | 22 | 3 1 -5 |
| 43.9 | 31 | 3 1 3 |
| 60.8 | 25 | 3 3 -1 |
| 67.7 | 21 | 3 3 -5 |